This entry pairs a crystal structure of Mg3Tl2Pb3 with its computed XRD peak list. Radiation: Cu Kα X-rays. Structure: the PBE geometry in Alexandria.
No peak broadening, texture or thermal motion is included.

Crystal structure
a b c (Å): 4.355 5.070 19.866
angles (deg): 90.00 90.00 90.00
Space group Immm (No. 71)
Inequivalent atoms, fractional coordinates:
Mg1 0.000 0.000 0.000 [2 per cell]
Mg2 0.000 0.500 0.122 [4 per cell]
Tl1 0.000 0.000 0.253 [4 per cell]
Pb1 0.000 0.000 0.500 [2 per cell]
Pb2 0.000 0.500 0.379 [4 per cell]

Top 8 peaks for 2θ from 15° to 90°, most intense first:
d = 2.751 Å, rel. 1000, hkl 1 1 4
d = 4.254 Å, rel. 246, hkl 1 0 1
d = 2.178 Å, rel. 221, hkl 2 0 0
d = 2.535 Å, rel. 202, hkl 0 2 0
d = 3.129 Å, rel. 195, hkl 0 1 5
d = 2.483 Å, rel. 185, hkl 0 0 8
d = 1.502 Å, rel. 164, hkl 1 3 4
d = 4.025 Å, rel. 159, hkl 0 1 3

This entry pairs a crystal structure of YTm2H8 with its computed XRD peak list. Radiation: Cu Kα X-rays. Structure: the PBE geometry in Alexandria.
No peak broadening, texture or thermal motion is included.

Crystal structure
a b c (Å): 3.584 5.085 10.748
angles (deg): 90.00 90.00 90.00
Space group Immm (No. 71)
Inequivalent atoms, fractional coordinates:
Y1 0.000 0.000 0.000 [2 per cell]
Tm1 0.000 0.000 0.331 [4 per cell]
H1 0.000 0.224 0.500 [4 per cell]
H2 0.000 0.263 0.163 [8 per cell]
H3 0.000 0.500 0.342 [4 per cell]

Top 8 peaks for 2θ from 15° to 90°, most intense first:
d = 2.929 Å, rel. 1000, hkl 1 1 0
d = 2.534 Å, rel. 332, hkl 1 0 3
d = 1.794 Å, rel. 315, hkl 2 0 0
d = 1.528 Å, rel. 286, hkl 2 1 3
d = 2.543 Å, rel. 168, hkl 0 2 0
d = 1.532 Å, rel. 144, hkl 1 3 0
d = 1.465 Å, rel. 123, hkl 2 2 0
d = 1.164 Å, rel. 118, hkl 2 3 3

This entry pairs a crystal structure of TmRhO4 with its computed XRD peak list. Radiation: Cu Kα X-rays. Structure: the PBE geometry in Alexandria.
No peak broadening, texture or thermal motion is included.

Crystal structure
a b c (Å): 10.938 5.155 5.282
angles (deg): 90.00 110.52 90.00
Space group C2/c (No. 15)
Inequivalent atoms, fractional coordinates:
Tm1 0.000 0.226 0.250 [4 per cell]
Rh1 0.250 0.250 0.000 [4 per cell]
O1 0.096 0.421 0.963 [8 per cell]
O2 0.155 0.041 0.646 [8 per cell]

Top 8 peaks for 2θ from 15° to 90°, most intense first:
d = 3.133 Å, rel. 1000, hkl 1 1 1
d = 2.854 Å, rel. 757, hkl 3 1 -1
d = 1.817 Å, rel. 252, hkl 4 2 0
d = 2.615 Å, rel. 251, hkl 2 0 -2
d = 1.836 Å, rel. 249, hkl 2 2 -2
d = 2.561 Å, rel. 201, hkl 4 0 0
d = 2.577 Å, rel. 194, hkl 0 2 0
d = 1.636 Å, rel. 173, hkl 1 1 -3

This entry pairs a crystal structure of ThGeP with its computed XRD peak list. Radiation: Cu Kα X-rays. Structure: the PBE geometry in Alexandria.
No peak broadening, texture or thermal motion is included.

Crystal structure
a b c (Å): 8.777 8.777 3.723
angles (deg): 90.00 90.00 90.00
Space group P4_2/m (No. 84)
Inequivalent atoms, fractional coordinates:
Th1 0.115 0.686 0.000 [4 per cell]
Ge1 0.324 0.400 0.000 [4 per cell]
P1 0.134 0.403 0.500 [4 per cell]

Top 8 peaks for 2θ from 15° to 90°, most intense first:
d = 2.384 Å, rel. 1000, hkl 2 2 1
d = 3.925 Å, rel. 980, hkl 1 2 0
d = 2.775 Å, rel. 749, hkl 3 1 0
d = 2.701 Å, rel. 718, hkl 2 1 1
d = 3.428 Å, rel. 591, hkl 1 0 1
d = 3.193 Å, rel. 435, hkl 1 1 1
d = 1.755 Å, rel. 336, hkl 4 3 0
d = 1.562 Å, rel. 272, hkl 1 5 1

This entry pairs a crystal structure of Ac3Zn4Hg4 with its computed XRD peak list. Radiation: Cu Kα X-rays. Structure: the PBE geometry in Alexandria.
No peak broadening, texture or thermal motion is included.

Crystal structure
a b c (Å): 4.247 4.833 14.451
angles (deg): 98.13 98.39 90.09
Space group P-1 (No. 2)
Inequivalent atoms, fractional coordinates:
Ac1 0.000 0.000 0.000 [1 per cell]
Ac2 0.152 0.636 0.301 [2 per cell]
Zn1 0.254 0.293 0.508 [2 per cell]
Zn2 0.403 0.913 0.805 [2 per cell]
Hg1 0.305 0.842 0.612 [2 per cell]
Hg2 0.449 0.452 0.894 [2 per cell]

Top 8 peaks for 2θ from 15° to 90°, most intense first:
d = 2.928 Å, rel. 1000, hkl 1 0 -4
d = 3.100 Å, rel. 358, hkl 1 -1 1
d = 2.415 Å, rel. 336, hkl 0 2 -1
d = 2.124 Å, rel. 255, hkl 2 0 -1
d = 3.123 Å, rel. 222, hkl 1 1 0
d = 2.889 Å, rel. 208, hkl 1 1 -3
d = 2.296 Å, rel. 198, hkl 0 1 5
d = 1.846 Å, rel. 194, hkl 1 2 -5

This entry pairs a crystal structure of Rb3Ce3PrTe8 with its computed XRD peak list. Radiation: Cu Kα X-rays. Structure: the PBE geometry in Alexandria.
No peak broadening, texture or thermal motion is included.

Crystal structure
a b c (Å): 9.2259 9.2259 25.9185
angles (deg): 90.00 90.00 120.00
Space group R-3m (No. 166, hexagonal axes)
Inequivalent atoms, fractional coordinates:
Rb1 0.0000 0.5000 0.0000 [9 per cell]
Ce1 0.0000 0.5000 0.5000 [9 per cell]
Pr1 0.0000 0.0000 0.5000 [3 per cell]
Te1 0.0000 0.0000 0.2342 [6 per cell]
Te2 0.0061 0.5030 0.7661 [18 per cell]

Top 8 peaks for 2θ from 15° to 90°, most intense first:
d = 3.401 Å, rel. 1000, hkl 0 2 4
d = 2.306 Å, rel. 376, hkl 2 2 0
d = 2.516 Å, rel. 335, hkl 2 0 8
d = 1.909 Å, rel. 193, hkl 4 0 4
d = 1.471 Å, rel. 164, hkl 2 4 4
d = 2.716 Å, rel. 162, hkl 0 2 7
d = 2.030 Å, rel. 111, hkl 2 0 11
d = 1.700 Å, rel. 101, hkl 0 4 8

This entry pairs a crystal structure of ScAg2AsSe4 with its computed XRD peak list. Radiation: Cu Kα X-rays. Structure: the PBE geometry in Alexandria.
No peak broadening, texture or thermal motion is included.

Crystal structure
a b c (Å): 7.919 7.924 11.252
angles (deg): 90.00 90.00 90.00
Space group Imma (No. 74)
Inequivalent atoms, fractional coordinates:
Sc1 0.000 0.000 0.000 [4 per cell]
Ag1 0.000 0.000 0.500 [4 per cell]
Ag2 0.250 0.250 0.250 [4 per cell]
As1 0.250 0.250 0.750 [4 per cell]
Se1 0.000 0.009 0.755 [8 per cell]
Se2 0.238 0.250 0.992 [8 per cell]

Top 8 peaks for 2θ from 15° to 90°, most intense first:
d = 2.801 Å, rel. 1000, hkl 2 2 0
d = 1.984 Å, rel. 887, hkl 0 4 0
d = 2.813 Å, rel. 504, hkl 0 0 4
d = 1.619 Å, rel. 359, hkl 0 4 4
d = 1.144 Å, rel. 224, hkl 2 6 4
d = 1.253 Å, rel. 223, hkl 2 6 0
d = 1.980 Å, rel. 176, hkl 4 0 0
d = 1.257 Å, rel. 147, hkl 2 2 8

This entry pairs a crystal structure of Cd2SiO4 with its computed XRD peak list. Radiation: Cu Kα X-rays. Structure: the PBE geometry in Alexandria.
No peak broadening, texture or thermal motion is included.

Crystal structure
a b c (Å): 6.106 10.018 12.001
angles (deg): 90.00 90.00 90.00
Space group Fddd (No. 70, origin choice 2)
Inequivalent atoms, fractional coordinates:
Cd1 0.125 0.311 0.125 [16 per cell]
Si1 0.125 0.125 0.625 [8 per cell]
O1 0.030 0.272 0.949 [32 per cell]

Top 8 peaks for 2θ from 15° to 90°, most intense first:
d = 2.846 Å, rel. 1000, hkl 1 3 1
d = 2.721 Å, rel. 808, hkl 2 0 2
d = 3.000 Å, rel. 510, hkl 0 0 4
d = 3.845 Å, rel. 464, hkl 0 2 2
d = 1.857 Å, rel. 439, hkl 1 3 5
d = 1.720 Å, rel. 337, hkl 3 3 1
d = 2.364 Å, rel. 334, hkl 1 3 3
d = 1.673 Å, rel. 233, hkl 2 0 6